Record 1
Starting from the GGA-PBE geometry in Alexandria, the powder XRD pattern of Hf2Zr6Cd was calculated for λ = 1.5418 Å (Cu Kα).
Intensities are scaled so that the largest is 100.

Top 10 peaks for 2θ from 10° to 80°, in order of rising 2θ:
2θ 20.10, d 4.418, I 13; 2θ 30.93, d 2.891, I 13; 2θ 33.13, d 2.704, I 28; 2θ 35.19, d 2.551, I 100; 2θ 36.20, d 2.482, I 34; 2θ 38.99, d 2.310, I 15; 2θ 39.11, d 2.303, I 14; 2θ 63.14, d 1.473, I 16; 2θ 71.91, d 1.313, I 13; 2θ 72.06, d 1.311, I 13

Crystal structure
```
data_Hf2Zr6Cd
_symmetry_space_group_name_H-M 'C 1 m 1'
_symmetry_Int_Tables_number 8
_cell_length_a 15.603
_cell_length_b 8.832
_cell_length_c 3.059
_cell_angle_alpha 90.00
_cell_angle_beta 101.13
_cell_angle_gamma 90.00
loop_
_symmetry_equiv_pos_as_xyz
'x,y,z'
'x,-y,z'
'x+1/2,y+1/2,z'
'x+1/2,-y+1/2,z'
loop_
_atom_site_label
_atom_site_type_symbol
_atom_site_fract_x
_atom_site_fract_y
_atom_site_fract_z
_atom_site_occupancy
Hf1 Hf 0.000 0.000 0.000 1
Hf2 Hf 0.193 0.500 0.699 1
Zr1 Zr 0.019 0.321 0.524 1
Zr2 Zr 0.174 0.179 0.180 1
Zr3 Zr 0.346 0.332 0.349 1
Cd1 Cd 0.346 0.000 0.852 1
```

***

Record 2
Starting from the GGA-PBE geometry in Alexandria, the powder XRD pattern of HfZr5Cd4 was calculated for λ = 1.5418 Å (Cu Kα).
Intensities are scaled so that the largest is 100.

Top 10 peaks for 2θ from 10° to 80°, in order of rising 2θ:
2θ 20.35, d 4.364, I 2; 2θ 28.08, d 3.177, I 2; 2θ 34.93, d 2.569, I 100; 2θ 40.14, d 2.247, I 34; 2θ 41.38, d 2.182, I 15; 2θ 58.06, d 1.589, I 11; 2θ 59.01, d 1.565, I 21; 2θ 69.58, d 1.351, I 25; 2θ 71.30, d 1.323, I 11; 2θ 73.77, d 1.284, I 11

Crystal structure
```
data_HfZr5Cd4
_symmetry_space_group_name_H-M 'P 4/m m m'
_symmetry_Int_Tables_number 123
_symmetry_space_group_name_Hall '-P 4 2'
_cell_length_a 3.177
_cell_length_b 3.177
_cell_length_c 21.822
_cell_angle_alpha 90.00
_cell_angle_beta 90.00
_cell_angle_gamma 90.00
loop_
_atom_site_label
_atom_site_type_symbol
_atom_site_fract_x
_atom_site_fract_y
_atom_site_fract_z
_atom_site_occupancy
Hf1 Hf 0.000 0.000 0.000 1
Zr1 Zr 0.500 0.500 0.100 1
Zr2 Zr 0.500 0.500 0.302 1
Zr3 Zr 0.500 0.500 0.500 1
Cd1 Cd 0.000 0.000 0.204 1
Cd2 Cd 0.000 0.000 0.401 1
```

***

Record 3
Starting from the GGA-PBE geometry in Alexandria, the powder XRD pattern of Hf3Zr5Cd3 was calculated for λ = 1.5418 Å (Cu Kα).
Intensities are scaled so that the largest is 100.

Top 10 peaks for 2θ from 10° to 80°, in order of rising 2θ:
2θ 33.87, d 2.647, I 24; 2θ 34.24, d 2.619, I 23; 2θ 35.02, d 2.562, I 60; 2θ 35.29, d 2.543, I 16; 2θ 35.90, d 2.502, I 32; 2θ 36.20, d 2.481, I 52; 2θ 36.37, d 2.470, I 100; 2θ 45.10, d 2.010, I 15; 2θ 57.90, d 1.593, I 16; 2θ 69.49, d 1.353, I 17

Crystal structure
```
data_Hf3Zr5Cd3
_symmetry_space_group_name_H-M 'C 1 m 1'
_symmetry_Int_Tables_number 8
_cell_length_a 20.964
_cell_length_b 3.185
_cell_length_c 8.043
_cell_angle_alpha 90.00
_cell_angle_beta 111.16
_cell_angle_gamma 90.00
loop_
_symmetry_equiv_pos_as_xyz
'x,y,z'
'x,-y,z'
'x+1/2,y+1/2,z'
'x+1/2,-y+1/2,z'
loop_
_atom_site_label
_atom_site_type_symbol
_atom_site_fract_x
_atom_site_fract_y
_atom_site_fract_z
_atom_site_occupancy
Hf1 Hf 0.000 0.000 0.000 1
Hf2 Hf 0.056 0.500 0.365 1
Hf3 Hf 0.419 0.500 0.211 1
Zr1 Zr 0.158 0.000 0.201 1
Zr2 Zr 0.163 0.000 0.652 1
Zr3 Zr 0.323 0.000 0.329 1
Zr4 Zr 0.360 0.000 0.845 1
Zr5 Zr 0.445 0.500 0.601 1
Cd1 Cd 0.083 0.500 0.825 1
Cd2 Cd 0.249 0.500 0.988 1
Cd3 Cd 0.258 0.500 0.532 1
```